[1]
The following is a theoretical powder diffractogram of Pm5Ho4In. It was derived from a cell relaxed with PBE, using Cu Kα (weighted mean of Kα1 and Kα2).
Kinematic intensities with the Lorentz-polarization factor, no thermal factor.

Atomic structure:
```
data_Pm5Ho4In
_chemical_formula_sum 'Pm5 Ho4 In1'
_space_group_name_H-M_alt 'P 4/m m m'
_space_group_IT_number 123
_space_group_name_Hall '-P 4 2'
_cell_length_a 4.1628
_cell_length_b 4.1628
_cell_length_c 18.3940
_cell_angle_alpha 90.00
_cell_angle_beta 90.00
_cell_angle_gamma 90.00
loop_
_atom_site_label
_atom_site_type_symbol
_atom_site_fract_x
_atom_site_fract_y
_atom_site_fract_z
_atom_site_occupancy
Pm1 Pm 0.0000 0.0000 0.0000 1
Pm2 Pm 0.0000 0.0000 0.2040 1
Pm3 Pm 0.0000 0.0000 0.4098 1
Ho1 Ho 0.5000 0.5000 0.1023 1
Ho2 Ho 0.5000 0.5000 0.3049 1
In1 In 0.5000 0.5000 0.5000 1
```

Peak list (10 most intense, 10 to 90 degrees two-theta, by intensity)
2θ = 32.48°, intensity 100
2θ = 30.37°, intensity 61
2θ = 55.31°, intensity 44
2θ = 43.48°, intensity 23
2θ = 59.24°, intensity 16
2θ = 88.83°, intensity 12
2θ = 68.02°, intensity 11
2θ = 71.70°, intensity 10
2θ = 72.85°, intensity 10
2θ = 63.18°, intensity 8

=====

[2]
The following is a theoretical powder diffractogram of Mg3RhPb2. It was derived from a cell relaxed with PBE, using Cu Kα (weighted mean of Kα1 and Kα2).
Kinematic intensities with the Lorentz-polarization factor, no thermal factor.

Atomic structure:
```
data_Mg3RhPb2
_chemical_formula_sum 'Mg6 Rh2 Pb4'
_space_group_name_H-M_alt 'P 1 2/m 1'
_space_group_IT_number 10
_space_group_name_Hall '-P 2y'
_cell_length_a 4.6689
_cell_length_b 8.0713
_cell_length_c 7.3513
_cell_angle_alpha 90.00
_cell_angle_beta 106.02
_cell_angle_gamma 90.00
loop_
_atom_site_label
_atom_site_type_symbol
_atom_site_fract_x
_atom_site_fract_y
_atom_site_fract_z
_atom_site_occupancy
Mg1 Mg 0.0000 0.2198 0.0000 1
Mg2 Mg 0.3116 0.1900 0.6387 1
Rh1 Rh 0.1696 0.0000 0.3230 1
Pb1 Pb 0.1675 0.5000 0.3324 1
Pb2 Pb 0.5000 0.0000 0.0000 1
Pb3 Pb 0.5000 0.5000 0.0000 1
```

Peak list (10 most intense, 10 to 90 degrees two-theta, by intensity)
2θ = 34.56°, intensity 100
2θ = 22.03°, intensity 95
2θ = 35.50°, intensity 93
2θ = 26.30°, intensity 58
2θ = 27.49°, intensity 53
2θ = 44.90°, intensity 52
2θ = 38.21°, intensity 40
2θ = 38.60°, intensity 39
2θ = 44.54°, intensity 32
2θ = 52.80°, intensity 22